1.
This entry pairs a crystal structure of Ce2ZnGa3 with its calculated powder X-ray diffraction pattern. Radiation: Cu Kα, 1.54184 Å. Structure: the GGA-PBE geometry in Alexandria.
No peak broadening, texture or thermal motion is included.

Structure:
Lattice parameters (Å, degrees): 8.9748 8.5978 5.8055 74.26 67.23 38.51
Atoms (fractional coordinates):
1 Ce 0.2488 0.7512 0.7512
2 Ce 0.2500 0.2500 0.2500
3 Ce 0.7500 0.7500 0.7500
4 Ce 0.7512 0.2488 0.2488
5 Zn 0.1670 0.1670 0.8330
6 Zn 0.8330 0.8330 0.1670
7 Ga 0.1658 0.6664 0.3336
8 Ga 0.3327 0.3327 0.6673
9 Ga 0.3336 0.8342 0.1658
10 Ga 0.6664 0.1658 0.8342
11 Ga 0.6673 0.6673 0.3327
12 Ga 0.8342 0.3336 0.6664

Most intense lines, 10° ≤ 2θ ≤ 80°, by angle:
d 3.887, I 13; d 2.672, I 100; d 2.244, I 55; d 1.944, I 2; d 1.840, I 10; d 1.719, I 26; d 1.663, I 2; d 1.423, I 25; d 1.364, I 24; d 1.296, I 9

***

2.
This entry pairs a crystal structure of BaMgZn2Br8 with its calculated powder X-ray diffraction pattern. Radiation: Cu Kα, 1.54184 Å. Structure: the GGA-PBE geometry in Alexandria.
No peak broadening, texture or thermal motion is included.

Structure:
Lattice parameters (Å, degrees): 6.7486 6.7486 9.3702 90.00 90.00 120.00
Atoms (fractional coordinates):
1 Ba 0.0000 0.0000 0.0000
2 Mg 0.0000 0.0000 0.5000
3 Zn 0.3333 0.6667 0.7399
4 Zn 0.6667 0.3333 0.2601
5 Br 0.0082 0.6931 0.3214
6 Br 0.3069 0.3152 0.3214
7 Br 0.3152 0.0082 0.6786
8 Br 0.3333 0.6667 0.9985
9 Br 0.6667 0.3333 0.0015
10 Br 0.6848 0.9918 0.3214
11 Br 0.6931 0.6848 0.6786
12 Br 0.9918 0.3069 0.6786

Most intense lines, 10° ≤ 2θ ≤ 80°, by angle:
d 4.959, I 14; d 3.175, I 100; d 3.123, I 35; d 2.738, I 52; d 1.948, I 38; d 1.924, I 36; d 1.660, I 13; d 1.653, I 29; d 1.638, I 12; d 1.369, I 11

***

3.
This entry pairs a crystal structure of Al3GaSn with its calculated powder X-ray diffraction pattern. Radiation: Cu Kα, 1.54184 Å. Structure: the GGA-PBE geometry in Alexandria.
No peak broadening, texture or thermal motion is included.

Structure:
Lattice parameters (Å, degrees): 4.8880 4.8880 4.8880 90.00 90.00 90.00
Atoms (fractional coordinates):
1 Al 0.0000 0.0000 0.5000
2 Al 0.0000 0.5000 0.0000
3 Al 0.5000 0.0000 0.0000
4 Ga 0.0000 0.0000 0.0000
5 Sn 0.5000 0.5000 0.5000

Most intense lines, 10° ≤ 2θ ≤ 80°, by angle:
d 3.456, I 100; d 2.822, I 24; d 2.444, I 54; d 1.996, I 45; d 1.728, I 38; d 1.546, I 20; d 1.474, I 10; d 1.411, I 13; d 1.306, I 23; d 1.222, I 6

***

4.
This entry pairs a crystal structure of Hf5Mn4Hg with its calculated powder X-ray diffraction pattern. Radiation: Cu Kα, 1.54184 Å. Structure: the GGA-PBE geometry in Alexandria.
No peak broadening, texture or thermal motion is included.

Structure:
Lattice parameters (Å, degrees): 3.1795 3.1795 16.8336 90.00 90.00 90.00
Atoms (fractional coordinates):
1 Hf 0.0000 0.0000 0.0000
2 Hf 0.0000 0.0000 0.1888
3 Hf 0.0000 0.0000 0.3721
4 Hf 0.0000 0.0000 0.6279
5 Hf 0.0000 0.0000 0.8112
6 Mn 0.5000 0.5000 0.0929
7 Mn 0.5000 0.5000 0.2848
8 Mn 0.5000 0.5000 0.7152
9 Mn 0.5000 0.5000 0.9071
10 Hg 0.5000 0.5000 0.5000

Most intense lines, 10° ≤ 2θ ≤ 80°, by angle:
d 3.180, I 18; d 2.537, I 13; d 2.312, I 100; d 2.248, I 60; d 2.104, I 10; d 1.754, I 9; d 1.590, I 20; d 1.379, I 12; d 1.347, I 11; d 1.310, I 32

***

5.
This entry pairs a crystal structure of Ga4AgSn with its calculated powder X-ray diffraction pattern. Radiation: Cu Kα, 1.54184 Å. Structure: the GGA-PBE geometry in Alexandria.
No peak broadening, texture or thermal motion is included.

Structure:
Lattice parameters (Å, degrees): 4.3696 4.3696 7.2474 91.47 91.47 69.57
Atoms (fractional coordinates):
1 Ga 0.1316 0.1316 0.3460
2 Ga 0.3466 0.3466 0.8818
3 Ga 0.6534 0.6534 0.1182
4 Ga 0.8684 0.8684 0.6540
5 Ag 0.0000 0.0000 0.0000
6 Sn 0.5000 0.5000 0.5000

Most intense lines, 10° ≤ 2θ ≤ 80°, by angle:
d 3.622, I 36; d 3.589, I 56; d 3.175, I 44; d 2.737, I 69; d 2.493, I 100; d 2.096, I 42; d 2.083, I 87; d 2.064, I 84; d 2.051, I 66; d 1.340, I 32

***

6.
This entry pairs a crystal structure of Mg14AlCd with its calculated powder X-ray diffraction pattern. Radiation: Cu Kα, 1.54184 Å. Structure: the GGA-PBE geometry in Alexandria.
No peak broadening, texture or thermal motion is included.

Structure:
Lattice parameters (Å, degrees): 10.1991 6.3296 6.3296 60.64 90.00 90.00
Atoms (fractional coordinates):
1 Mg 0.0000 0.0000 0.0000
2 Mg 0.0000 0.4978 0.9994
3 Mg 0.0000 0.4996 0.4996
4 Mg 0.0000 0.9994 0.4978
5 Mg 0.2508 0.8315 0.8315
6 Mg 0.2536 0.3327 0.3327
7 Mg 0.2569 0.3328 0.8284
8 Mg 0.2569 0.8284 0.3328
9 Mg 0.5000 0.0004 0.5012
10 Mg 0.5000 0.5012 0.0004
11 Mg 0.7431 0.3328 0.8284
12 Mg 0.7431 0.8284 0.3328
13 Mg 0.7464 0.3327 0.3327
14 Mg 0.7492 0.8315 0.8315
15 Al 0.5000 0.4965 0.4965
16 Cd 0.5000 0.9973 0.9973

Most intense lines, 10° ≤ 2θ ≤ 80°, by angle:
d 5.516, I 15; d 4.852, I 23; d 2.758, I 26; d 2.550, I 38; d 2.426, I 100; d 2.408, I 48; d 1.872, I 16; d 1.582, I 17; d 1.447, I 18; d 1.344, I 18

***

7.
This entry pairs a crystal structure of RbPuWN4 with its calculated powder X-ray diffraction pattern. Radiation: Cu Kα, 1.54184 Å. Structure: the GGA-PBE geometry in Alexandria.
No peak broadening, texture or thermal motion is included.

Structure:
Lattice parameters (Å, degrees): 5.9230 5.9687 7.8336 90.00 104.20 90.00
Atoms (fractional coordinates):
1 Rb 0.1396 0.2500 0.1039
2 Rb 0.8604 0.7500 0.8961
3 Pu 0.1776 0.7500 0.4639
4 Pu 0.8224 0.2500 0.5361
5 W 0.3698 0.2500 0.6644
6 W 0.6302 0.7500 0.3356
7 N 0.1579 0.0115 0.6657
8 N 0.1579 0.4885 0.6657
9 N 0.3079 0.7500 0.2225
10 N 0.4350 0.2500 0.4465
11 N 0.5650 0.7500 0.5535
12 N 0.6921 0.2500 0.7775
13 N 0.8421 0.5115 0.3343
14 N 0.8421 0.9885 0.3343

Most intense lines, 10° ≤ 2θ ≤ 80°, by angle:
d 7.594, I 100; d 4.693, I 25; d 3.599, I 17; d 3.391, I 36; d 3.204, I 39; d 2.984, I 37; d 2.934, I 16; d 2.633, I 19; d 2.298, I 31; d 1.854, I 18

***

8.
This entry pairs a crystal structure of DyYCdGa with its calculated powder X-ray diffraction pattern. Radiation: Cu Kα, 1.54184 Å. Structure: the GGA-PBE geometry in Alexandria.
No peak broadening, texture or thermal motion is included.

Structure:
Lattice parameters (Å, degrees): 5.1797 5.1797 5.1797 60.00 60.00 60.00
Atoms (fractional coordinates):
1 Dy 0.0000 0.0000 0.0000
2 Y 0.5000 0.5000 0.5000
3 Cd 0.7500 0.7500 0.7500
4 Ga 0.2500 0.2500 0.2500

Most intense lines, 10° ≤ 2θ ≤ 80°, by angle:
d 4.229, I 8; d 3.663, I 3; d 2.590, I 100; d 2.209, I 4; d 1.831, I 18; d 1.681, I 2; d 1.495, I 36; d 1.410, I 1; d 1.295, I 11; d 1.238, I 1

***

9.
This entry pairs a crystal structure of SrHfNbInO6 with its calculated powder X-ray diffraction pattern. Radiation: Cu Kα, 1.54184 Å. Structure: the GGA-PBE geometry in Alexandria.
No peak broadening, texture or thermal motion is included.

Structure:
Lattice parameters (Å, degrees): 5.8263 5.8263 5.8263 60.00 60.00 60.00
Atoms (fractional coordinates):
1 Sr 0.0000 0.0000 0.0000
2 Hf 0.7500 0.7500 0.7500
3 Nb 0.2500 0.2500 0.2500
4 In 0.5000 0.5000 0.5000
5 O 0.0042 0.0042 0.4958
6 O 0.0042 0.4958 0.0042
7 O 0.0042 0.4958 0.4958
8 O 0.4958 0.0042 0.0042
9 O 0.4958 0.0042 0.4958
10 O 0.4958 0.4958 0.0042

Most intense lines, 10° ≤ 2θ ≤ 80°, by angle:
d 4.757, I 7; d 4.120, I 6; d 2.913, I 100; d 2.484, I 5; d 2.060, I 31; d 1.890, I 2; d 1.842, I 3; d 1.682, I 40; d 1.457, I 19; d 1.303, I 17

***

10.
This entry pairs a crystal structure of TaCrIn2 with its calculated powder X-ray diffraction pattern. Radiation: Cu Kα, 1.54184 Å. Structure: the GGA-PBE geometry in Alexandria.
No peak broadening, texture or thermal motion is included.

Structure:
Lattice parameters (Å, degrees): 4.1762 4.1762 4.3050 90.00 90.00 90.00
Atoms (fractional coordinates):
1 Ta 0.0000 0.0000 0.0000
2 Cr 0.5000 0.5000 0.0000
3 In 0.0000 0.5000 0.5000
4 In 0.5000 0.0000 0.5000

Most intense lines, 10° ≤ 2θ ≤ 80°, by angle:
d 4.176, I 14; d 2.998, I 12; d 2.435, I 100; d 2.152, I 17; d 2.088, I 32; d 1.499, I 21; d 1.477, I 10; d 1.291, I 13; d 1.263, I 24; d 1.218, I 11

***

11.
This entry pairs a crystal structure of NpHI5 with its calculated powder X-ray diffraction pattern. Radiation: Cu Kα, 1.54184 Å. Structure: the GGA-PBE geometry in Alexandria.
No peak broadening, texture or thermal motion is included.

Structure:
Lattice parameters (Å, degrees): 8.2739 8.5603 10.4786 81.63 72.50 61.12
Atoms (fractional coordinates):
1 Np 0.0000 0.0000 0.0000
2 Np 0.5000 0.0000 0.5000
3 H 0.1570 0.1855 0.2511
4 H 0.8430 0.8145 0.7489
5 I 0.1056 0.2034 0.4409
6 I 0.1922 0.2012 0.0603
7 I 0.2019 0.6970 0.1560
8 I 0.3362 0.8275 0.7499
9 I 0.4016 0.3014 0.6564
10 I 0.5984 0.6986 0.3436
11 I 0.6638 0.1725 0.2501
12 I 0.7981 0.3030 0.8440
13 I 0.8078 0.7988 0.9397
14 I 0.8944 0.7966 0.5591

Most intense lines, 10° ≤ 2θ ≤ 80°, by angle:
d 7.495, I 71; d 6.609, I 87; d 5.120, I 52; d 3.632, I 56; d 3.608, I 100; d 3.511, I 38; d 2.997, I 46; d 2.847, I 57; d 2.626, I 38; d 2.345, I 39

***

12.
This entry pairs a crystal structure of ThZrPd5 with its calculated powder X-ray diffraction pattern. Radiation: Cu Kα, 1.54184 Å. Structure: the GGA-PBE geometry in Alexandria.
No peak broadening, texture or thermal motion is included.

Structure:
Lattice parameters (Å, degrees): 4.1023 4.1023 8.1404 90.00 90.00 90.00
Atoms (fractional coordinates):
1 Th 0.0000 0.0000 0.0000
2 Zr 0.5000 0.5000 0.5000
3 Pd 0.0000 0.5000 0.2712
4 Pd 0.0000 0.5000 0.7288
5 Pd 0.5000 0.0000 0.2712
6 Pd 0.5000 0.0000 0.7288
7 Pd 0.5000 0.5000 0.0000

Most intense lines, 10° ≤ 2θ ≤ 80°, by angle:
d 8.140, I 21; d 3.663, I 19; d 2.732, I 19; d 2.362, I 100; d 2.051, I 34; d 2.035, I 14; d 1.450, I 11; d 1.445, I 19; d 1.236, I 25; d 1.229, I 9

***

13.
This entry pairs a crystal structure of CeSm2Ga4 with its calculated powder X-ray diffraction pattern. Radiation: Cu Kα, 1.54184 Å. Structure: the GGA-PBE geometry in Alexandria.
No peak broadening, texture or thermal motion is included.

Structure:
Lattice parameters (Å, degrees): 9.7789 9.7789 9.7789 155.30 154.22 36.01
Atoms (fractional coordinates):
1 Ce 0.0000 0.0000 0.0000
2 Sm 0.1842 0.6842 0.5000
3 Sm 0.8158 0.3158 0.5000
4 Ga 0.3558 0.8558 0.5000
5 Ga 0.4337 0.4337 0.0000
6 Ga 0.5663 0.5663 0.0000
7 Ga 0.6442 0.1442 0.5000

Most intense lines, 10° ≤ 2θ ≤ 80°, by angle:
d 3.468, I 21; d 2.872, I 100; d 2.831, I 53; d 2.533, I 25; d 2.243, I 28; d 2.182, I 27; d 2.163, I 19; d 2.092, I 24; d 1.682, I 23; d 1.564, I 18